Starting from the PBE geometry in Alexandria, the powder diffraction line list of Nd2HfSe4 was calculated for Cu Kα, 1.54184 Å.
Intensities are scaled so that the largest is 1000.

Crystal structure
```
Nd2HfSe4
1.0
7.2168 0.0000 0.0000
0.0000 6.8304 0.0000
-2.1871 0.0000 7.7522
Nd Hf Se
4 2 8
Direct
0.2212 0.2500 0.0544
0.2215 0.2500 0.5584
0.7785 0.7500 0.4416
0.7788 0.7500 0.9456
0.2601 0.7500 0.3166
0.7399 0.2500 0.6834
0.0110 0.5083 0.7540
0.0110 0.9917 0.7540
0.4561 0.7500 0.1046
0.4609 0.7500 0.6248
0.5391 0.2500 0.3752
0.5439 0.2500 0.8954
0.9890 0.0083 0.2460
0.9890 0.4917 0.2460
```

Most intense lines, 2θ from 10° to 80°, in order of rising 2θ:
two_theta	I (rel.)	h k l
17.30	375	0 1 1
26.09	708	0 2 0
26.48	303	0 1 2
29.14	370	1 2 0
32.14	980	1 1 2
32.35	1000	2 1 -2
35.05	478	1 2 -2
36.91	567	2 2 0
45.02	454	1 0 -4
49.99	278	1 3 2
50.13	288	2 3 -2
52.75	397	4 0 0